# 1
Diffraction record for TmZrZn4. The PXRD pattern is simulated, not measured: it uses a structure optimized by DFT (PBE) and Cu Kα (λ = 1.5418 Å).
Lines closer than 0.1° are merged.

Structural model:
Lattice parameters (Å, degrees): 4.3400 6.6622 7.6598 90.00 90.00 90.00
Space group Immm (No. 71)
Unique sites:
Tm1 0.0000 0.0000 0.0000 x2
Zr1 0.0000 0.5000 0.0000 x2
Zn1 0.0000 0.2277 0.3330 x8

Largest 10 diffraction maxima, low angle first, 2θ = 10–90°:
| 2θ/deg | I/Imax |
| --- | --- |
| 23.6 | 13 |
| 35.7 | 51 |
| 36.0 | 100 |
| 41.0 | 65 |
| 41.6 | 31 |
| 55.3 | 14 |
| 56.0 | 27 |
| 71.0 | 21 |
| 71.1 | 14 |
| 71.6 | 13 |

***

# 2
Diffraction record for TmZrZn10. The PXRD pattern is simulated, not measured: it uses a structure optimized by DFT (PBE) and Cu Kα (λ = 1.5418 Å).
Lines closer than 0.1° are merged.

Structural model:
Lattice parameters (Å, degrees): 4.1662 5.2388 9.0114 90.00 90.00 90.00
Space group Pmmm (No. 47)
Unique sites:
Tm1 0.0000 0.0000 0.0000 x1
Zr1 0.0000 0.5000 0.5000 x1
Zn1 0.0000 0.0000 0.3387 x2
Zn2 0.0000 0.5000 0.1728 x2
Zn3 0.5000 0.0000 0.5000 x1
Zn4 0.5000 0.2520 0.2536 x4
Zn5 0.5000 0.5000 0.0000 x1

Largest 10 diffraction maxima, low angle first, 2θ = 10–90°:
| 2θ/deg | I/Imax |
| --- | --- |
| 29.1 | 54 |
| 34.4 | 27 |
| 39.8 | 34 |
| 40.0 | 17 |
| 40.7 | 51 |
| 40.8 | 100 |
| 43.4 | 42 |
| 60.4 | 19 |
| 65.8 | 23 |
| 88.5 | 20 |

***

# 3
Diffraction record for TmZr2Zn4. The PXRD pattern is simulated, not measured: it uses a structure optimized by DFT (PBE) and Cu Kα (λ = 1.5418 Å).
Lines closer than 0.1° are merged.

Structural model:
Lattice parameters (Å, degrees): 4.3373 4.3373 15.7382 90.00 90.00 90.00
Space group I4/mmm (No. 139)
Unique sites:
Tm1 0.0000 0.0000 0.0000 x2
Zr1 0.0000 0.0000 0.2539 x4
Zn1 0.0000 0.5000 0.1268 x8

Largest 10 diffraction maxima, low angle first, 2θ = 10–90°:
| 2θ/deg | I/Imax |
| --- | --- |
| 21.2 | 27 |
| 26.7 | 19 |
| 37.2 | 100 |
| 41.6 | 36 |
| 46.1 | 13 |
| 60.4 | 12 |
| 63.9 | 19 |
| 73.1 | 26 |
| 79.2 | 10 |
| 79.5 | 10 |

***

# 4
Diffraction record for Tm4Zr. The PXRD pattern is simulated, not measured: it uses a structure optimized by DFT (PBE) and Cu Kα (λ = 1.5418 Å).
Lines closer than 0.1° are merged.

Structural model:
Lattice parameters (Å, degrees): 9.2340 9.2340 7.3796 90.00 90.00 90.00
Space group I4_1/amd (No. 141, origin choice 2)
Unique sites:
Tm1 0.0000 0.0578 0.2242 x16
Zr1 0.0000 0.2500 0.8750 x4

Largest 10 diffraction maxima, low angle first, 2θ = 10–90°:
| 2θ/deg | I/Imax |
| --- | --- |
| 19.2 | 17 |
| 27.3 | 37 |
| 31.0 | 100 |
| 31.5 | 53 |
| 37.2 | 41 |
| 37.8 | 20 |
| 39.0 | 19 |
| 51.0 | 25 |
| 51.5 | 16 |
| 62.9 | 14 |

***

# 5
Diffraction record for TmZr4. The PXRD pattern is simulated, not measured: it uses a structure optimized by DFT (PBE) and Cu Kα (λ = 1.5418 Å).
Lines closer than 0.1° are merged.

Structural model:
Lattice parameters (Å, degrees): 3.2362 4.5976 16.3355 90.00 90.00 90.00
Space group Immm (No. 71)
Unique sites:
Tm1 0.0000 0.0000 0.0000 x2
Zr1 0.0000 0.0000 0.2012 x4
Zr2 0.0000 0.0000 0.3926 x4

Largest 10 diffraction maxima, low angle first, 2θ = 10–90°:
| 2θ/deg | I/Imax |
| --- | --- |
| 33.7 | 100 |
| 33.9 | 100 |
| 39.2 | 99 |
| 56.6 | 44 |
| 56.9 | 14 |
| 67.4 | 25 |
| 67.5 | 13 |
| 67.6 | 13 |
| 67.8 | 25 |
| 71.3 | 11 |

***

# 6
Diffraction record for UV6. The PXRD pattern is simulated, not measured: it uses a structure optimized by DFT (PBE) and Cu Kα (λ = 1.5418 Å).
Lines closer than 0.1° are merged.

Structural model:
Lattice parameters (Å, degrees): 6.4738 6.4738 6.4738 90.00 90.00 90.00
Space group Im-3m (No. 229)
Unique sites:
U1 0.0000 0.0000 0.0000 x2
V1 0.0000 0.2500 0.5000 x12

Largest 10 diffraction maxima, low angle first, 2θ = 10–90°:
| 2θ/deg | I/Imax |
| --- | --- |
| 19.4 | 26 |
| 27.6 | 43 |
| 33.9 | 100 |
| 44.2 | 8 |
| 52.9 | 56 |
| 56.9 | 14 |
| 64.4 | 15 |
| 67.9 | 13 |
| 81.4 | 16 |
| 84.7 | 9 |

***

# 7
Diffraction record for U2W. The PXRD pattern is simulated, not measured: it uses a structure optimized by DFT (PBE) and Cu Kα (λ = 1.5418 Å).
Lines closer than 0.1° are merged.

Structural model:
Lattice parameters (Å, degrees): 3.4434 3.4434 9.7073 90.00 90.00 90.00
Space group I4/mmm (No. 139)
Unique sites:
U1 0.0000 0.0000 0.1806 x4
W1 0.0000 0.0000 0.5000 x2

Largest 10 diffraction maxima, low angle first, 2θ = 10–90°:
| 2θ/deg | I/Imax |
| --- | --- |
| 18.3 | 5 |
| 36.9 | 57 |
| 38.2 | 100 |
| 53.2 | 22 |
| 54.2 | 4 |
| 56.9 | 7 |
| 67.3 | 40 |
| 69.8 | 15 |
| 78.6 | 7 |
| 81.7 | 10 |

***

# 8
Diffraction record for U2Zn17. The PXRD pattern is simulated, not measured: it uses a structure optimized by DFT (PBE) and Cu Kα (λ = 1.5418 Å).
Lines closer than 0.1° are merged.

Structural model:
Lattice parameters (Å, degrees): 8.9787 8.9787 13.1592 90.00 90.00 120.00
Space group R-3m (No. 166, hexagonal axes)
Unique sites:
U1 0.0000 0.0000 0.1625 x6
Zn1 0.0000 0.0000 0.3989 x6
Zn2 0.0000 0.2968 0.5000 x18
Zn3 0.0000 0.5000 0.0000 x9
Zn4 0.0090 0.5045 0.6514 x18

Largest 10 diffraction maxima, low angle first, 2θ = 10–90°:
| 2θ/deg | I/Imax |
| --- | --- |
| 28.4 | 44 |
| 34.6 | 44 |
| 35.8 | 27 |
| 40.2 | 59 |
| 40.4 | 100 |
| 41.2 | 47 |
| 58.3 | 24 |
| 58.9 | 25 |
| 66.0 | 20 |
| 74.5 | 21 |

***

# 9
Diffraction record for U6Zn. The PXRD pattern is simulated, not measured: it uses a structure optimized by DFT (PBE) and Cu Kα (λ = 1.5418 Å).
Lines closer than 0.1° are merged.

Structural model:
Lattice parameters (Å, degrees): 7.1163 7.1163 7.1163 90.00 90.00 90.00
Space group Im-3m (No. 229)
Unique sites:
U1 0.0000 0.2500 0.5000 x12
Zn1 0.0000 0.0000 0.0000 x2

Largest 10 diffraction maxima, low angle first, 2θ = 10–90°:
| 2θ/deg | I/Imax |
| --- | --- |
| 17.6 | 98 |
| 25.0 | 42 |
| 30.8 | 100 |
| 40.1 | 26 |
| 44.1 | 77 |
| 47.8 | 60 |
| 51.4 | 46 |
| 67.1 | 19 |
| 75.6 | 31 |
| 83.8 | 19 |

***

# 10
Diffraction record for U2Zn17. The PXRD pattern is simulated, not measured: it uses a structure optimized by DFT (PBE) and Cu Kα (λ = 1.5418 Å).
Lines closer than 0.1° are merged.

Structural model:
Lattice parameters (Å, degrees): 8.9778 8.9778 8.7822 90.00 90.00 120.00
Space group P6_3/mmc (No. 194)
Unique sites:
U1 0.0000 0.0000 0.2500 x2
U2 0.3333 0.6667 0.2500 x2
Zn1 0.0000 0.5000 0.0000 x6
Zn2 0.0381 0.3672 0.7500 x12
Zn3 0.1615 0.3230 0.0235 x12
Zn4 0.3333 0.6667 0.5993 x4

Largest 10 diffraction maxima, low angle first, 2θ = 10–90°:
| 2θ/deg | I/Imax |
| --- | --- |
| 28.4 | 44 |
| 34.6 | 44 |
| 38.5 | 37 |
| 40.2 | 58 |
| 40.4 | 100 |
| 41.1 | 29 |
| 58.8 | 18 |
| 66.0 | 18 |
| 73.0 | 18 |
| 74.4 | 20 |

***

# 11
Diffraction record for V2W. The PXRD pattern is simulated, not measured: it uses a structure optimized by DFT (PBE) and Cu Kα (λ = 1.5418 Å).
Lines closer than 0.1° are merged.

Structural model:
Lattice parameters (Å, degrees): 4.4180 3.0843 6.7321 90.00 108.95 90.00
Space group C2/m (No. 12)
Unique sites:
V1 0.1709 0.0000 0.3420 x4
W1 0.0000 0.5000 0.0000 x2

Largest 10 diffraction maxima, low angle first, 2θ = 10–90°:
| 2θ/deg | I/Imax |
| --- | --- |
| 13.9 | 70 |
| 28.0 | 18 |
| 36.2 | 33 |
| 40.9 | 26 |
| 41.6 | 100 |
| 42.6 | 23 |
| 60.0 | 8 |
| 74.8 | 8 |
| 75.0 | 8 |
| 75.1 | 8 |

***

# 12
Diffraction record for VW. The PXRD pattern is simulated, not measured: it uses a structure optimized by DFT (PBE) and Cu Kα (λ = 1.5418 Å).
Lines closer than 0.1° are merged.

Structural model:
Lattice parameters (Å, degrees): 3.0961 4.3408 5.1317 65.03 72.55 89.89
Space group P-1 (No. 2)
Unique sites:
V1 0.1248 0.3748 0.2503 x2
W1 0.3756 0.1258 0.7486 x2

Largest 10 diffraction maxima, low angle first, 2θ = 10–90°:
| 2θ/deg | I/Imax |
| --- | --- |
| 22.9 | 48 |
| 30.6 | 24 |
| 37.0 | 15 |
| 41.2 | 67 |
| 41.3 | 100 |
| 41.6 | 33 |
| 59.7 | 11 |
| 74.9 | 11 |
| 75.2 | 17 |
| 75.8 | 16 |

***

# 13
Diffraction record for V3W7. The PXRD pattern is simulated, not measured: it uses a structure optimized by DFT (PBE) and Cu Kα (λ = 1.5418 Å).
Lines closer than 0.1° are merged.

Structural model:
Lattice parameters (Å, degrees): 8.3677 8.3677 5.2353 90.00 90.00 120.00
Space group P6_3/mmc (No. 194)
Unique sites:
V1 0.2109 0.4219 0.2500 x6
W1 0.0000 0.5000 0.0000 x6
W2 0.1183 0.2365 0.7500 x6
W3 0.3333 0.6667 0.7500 x2

Largest 10 diffraction maxima, low angle first, 2θ = 10–90°:
| 2θ/deg | I/Imax |
| --- | --- |
| 20.9 | 18 |
| 24.6 | 18 |
| 32.7 | 42 |
| 36.5 | 27 |
| 37.0 | 73 |
| 41.2 | 53 |
| 42.6 | 100 |
| 43.2 | 49 |
| 62.3 | 29 |
| 77.6 | 26 |

***

# 14
Diffraction record for V8W. The PXRD pattern is simulated, not measured: it uses a structure optimized by DFT (PBE) and Cu Kα (λ = 1.5418 Å).
Lines closer than 0.1° are merged.

Structural model:
Lattice parameters (Å, degrees): 9.0496 9.0496 3.0286 90.00 90.00 90.00
Space group I4/mmm (No. 139)
Unique sites:
V1 0.0000 0.3371 0.0000 x8
V2 0.1691 0.1691 0.5000 x8
W1 0.0000 0.0000 0.0000 x2

Largest 10 diffraction maxima, low angle first, 2θ = 10–90°:
| 2θ/deg | I/Imax |
| --- | --- |
| 13.8 | 23 |
| 19.6 | 12 |
| 27.9 | 6 |
| 31.1 | 8 |
| 31.3 | 8 |
| 37.1 | 11 |
| 42.3 | 100 |
| 61.5 | 10 |
| 77.3 | 10 |
| 77.5 | 20 |